(1)
For RbInCuS2, the GGA-PBE geometry in Alexandria gives the theoretical PXRD pattern in this record (Cu Kα, 1.54184 Å).
Peak positions follow from Bragg's law for the DFT cell and can differ from measured ones.

Structure:
Cell: 8.1444 8.1444 5.4817 Å, 90.00 90.00 128.07°
Positions (direct):
1 Rb 0.2500 0.7500 0.7531
2 Rb 0.7500 0.2500 0.2469
3 In 0.2500 0.2500 0.5000
4 In 0.7500 0.7500 0.5000
5 Cu 0.0000 0.0000 0.0000
6 Cu 0.5000 0.5000 0.0000
7 S 0.1135 0.8865 0.2508
8 S 0.3865 0.6135 0.2508
9 S 0.6135 0.3865 0.7492
10 S 0.8865 0.1135 0.7492

Most intense lines, 2θ = 5–70°, by angle:
| 2θ (°) | I (rel.) |
| --- | --- |
| 12.09 | 91 |
| 24.31 | 65 |
| 27.48 | 94 |
| 27.83 | 34 |
| 29.89 | 64 |
| 32.35 | 100 |
| 34.95 | 82 |
| 38.90 | 62 |
| 48.13 | 32 |
| 50.04 | 37 |


(2)
For RbInCuTe2, the GGA-PBE geometry in Alexandria gives the theoretical PXRD pattern in this record (Cu Kα, 1.54184 Å).
Peak positions follow from Bragg's law for the DFT cell and can differ from measured ones.

Structure:
Cell: 8.3528 5.7676 7.0207 Å, 90.00 100.14 90.00°
Positions (direct):
1 Rb 0.0000 0.2442 0.2500
2 Rb 0.0000 0.7558 0.7500
3 In 0.5000 0.3741 0.2500
4 In 0.5000 0.6259 0.7500
5 Cu 0.5000 0.0000 0.0000
6 Cu 0.5000 0.0000 0.5000
7 Te 0.2735 0.2587 0.8399
8 Te 0.2735 0.7413 0.3399
9 Te 0.7265 0.2587 0.6601
10 Te 0.7265 0.7413 0.1601

Most intense lines, 2θ = 5–70°, by angle:
| 2θ (°) | I (rel.) |
| --- | --- |
| 10.76 | 50 |
| 23.87 | 24 |
| 25.78 | 21 |
| 26.15 | 21 |
| 27.90 | 100 |
| 31.01 | 16 |
| 31.32 | 49 |
| 40.75 | 15 |
| 44.05 | 20 |
| 45.69 | 17 |


(3)
For RbInCu2Te4, the GGA-PBE geometry in Alexandria gives the theoretical PXRD pattern in this record (Cu Kα, 1.54184 Å).
Peak positions follow from Bragg's law for the DFT cell and can differ from measured ones.

Structure:
Cell: 7.2361 8.3769 9.3187 Å, 90.00 90.00 90.00°
Positions (direct):
1 Rb 0.0000 0.0000 0.0000
2 Rb 0.5000 0.5000 0.5000
3 In 0.0000 0.5000 0.0000
4 In 0.5000 0.0000 0.5000
5 Cu 0.0000 0.1437 0.5000
6 Cu 0.0000 0.8563 0.5000
7 Cu 0.5000 0.3563 0.0000
8 Cu 0.5000 0.6437 0.0000
9 Te 0.2480 0.1635 0.3185
10 Te 0.2480 0.8365 0.6815
11 Te 0.2520 0.3365 0.8185
12 Te 0.2520 0.6635 0.1815
13 Te 0.7480 0.3365 0.1815
14 Te 0.7480 0.6635 0.8185
15 Te 0.7520 0.1635 0.6815
16 Te 0.7520 0.8365 0.3185

Most intense lines, 2θ = 5–70°, by angle:
| 2θ (°) | I (rel.) |
| --- | --- |
| 14.22 | 49 |
| 25.09 | 56 |
| 26.38 | 100 |
| 31.30 | 67 |
| 32.71 | 21 |
| 39.72 | 24 |
| 42.15 | 23 |
| 44.43 | 26 |
| 46.16 | 25 |
| 50.69 | 25 |


(4)
For RbIn2CuTe4, the GGA-PBE geometry in Alexandria gives the theoretical PXRD pattern in this record (Cu Kα, 1.54184 Å).
Peak positions follow from Bragg's law for the DFT cell and can differ from measured ones.

Structure:
Cell: 7.6815 7.6815 9.6090 Å, 90.00 90.00 90.00°
Positions (direct):
1 Rb 0.0000 0.0000 0.0000
2 Rb 0.5000 0.5000 0.5000
3 In 0.0000 0.5000 0.2500
4 In 0.0000 0.5000 0.7500
5 In 0.5000 0.0000 0.2500
6 In 0.5000 0.0000 0.7500
7 Cu 0.0000 0.0000 0.5000
8 Cu 0.5000 0.5000 0.0000
9 Te 0.2024 0.2024 0.6305
10 Te 0.2024 0.7976 0.3695
11 Te 0.2976 0.2976 0.1305
12 Te 0.2976 0.7024 0.8695
13 Te 0.7024 0.2976 0.8695
14 Te 0.7024 0.7024 0.1305
15 Te 0.7976 0.2024 0.3695
16 Te 0.7976 0.7976 0.6305

Most intense lines, 2θ = 5–70°, by angle:
| 2θ (°) | I (rel.) |
| --- | --- |
| 24.74 | 100 |
| 27.58 | 21 |
| 32.98 | 36 |
| 36.31 | 8 |
| 41.66 | 34 |
| 44.48 | 37 |
| 47.34 | 8 |
| 49.86 | 9 |
| 60.24 | 9 |
| 66.97 | 10 |


(5)
For InCuRh2S2, the GGA-PBE geometry in Alexandria gives the theoretical PXRD pattern in this record (Cu Kα, 1.54184 Å).
Peak positions follow from Bragg's law for the DFT cell and can differ from measured ones.

Structure:
Cell: 11.3447 11.3447 11.3447 Å, 16.96 16.96 16.96°
Positions (direct):
1 In 0.0000 0.0000 0.0000
2 Cu 0.5000 0.5000 0.5000
3 Rh 0.2683 0.2683 0.2683
4 Rh 0.7317 0.7317 0.7317
5 S 0.4350 0.4350 0.4350
6 S 0.5650 0.5650 0.5650

Most intense lines, 2θ = 5–70°, by angle:
| 2θ (°) | I (rel.) |
| --- | --- |
| 7.91 | 57 |
| 32.02 | 15 |
| 32.70 | 100 |
| 36.23 | 38 |
| 37.74 | 30 |
| 43.07 | 23 |
| 49.36 | 14 |
| 54.88 | 34 |
| 64.97 | 10 |
| 65.37 | 13 |


(6)
For InCu2S3, the GGA-PBE geometry in Alexandria gives the theoretical PXRD pattern in this record (Cu Kα, 1.54184 Å).
Peak positions follow from Bragg's law for the DFT cell and can differ from measured ones.

Structure:
Cell: 12.7679 6.7070 12.1548 Å, 79.50 31.10 69.40°
Positions (direct):
1 In 0.3196 0.6804 0.3371
2 In 0.5871 0.9129 0.5696
3 In 0.6804 0.3196 0.6629
4 In 0.9129 0.5871 0.9304
5 Cu 0.0018 0.0018 0.9982
6 Cu 0.0789 0.4173 0.0920
7 Cu 0.1580 0.8383 0.1711
8 Cu 0.2518 0.2518 0.2482
9 Cu 0.4173 0.0789 0.4117
10 Cu 0.5059 0.5059 0.4941
11 Cu 0.7559 0.7559 0.7441
12 Cu 0.8383 0.1580 0.8327
13 S 0.0716 0.1954 0.2644
14 S 0.1073 0.6246 0.3754
15 S 0.1954 0.0716 0.4685
16 S 0.3104 0.4424 0.5304
17 S 0.3573 0.8746 0.6254
18 S 0.4424 0.3104 0.7168
19 S 0.5332 0.7196 0.8076
20 S 0.6246 0.1073 0.8927
21 S 0.7196 0.5332 0.9396
22 S 0.7815 0.9856 0.0546
23 S 0.8746 0.3573 0.1427
24 S 0.9856 0.7815 0.1784

Most intense lines, 2θ = 5–70°, by angle:
| 2θ (°) | I (rel.) |
| --- | --- |
| 28.32 | 100 |
| 32.63 | 6 |
| 32.92 | 11 |
| 47.03 | 38 |
| 47.17 | 9 |
| 47.31 | 9 |
| 55.62 | 14 |
| 56.00 | 26 |
| 68.36 | 3 |
| 69.03 | 5 |